Diffraction record for TiH. The X-ray powder pattern is computed, not measured: it uses a structure optimized by DFT (PBE) and copper Kα.

Top 9 peaks for 2θ from 10° to 90°, sorted by position:
| 2θ (°) | I/Imax |
| --- | --- |
| 36.20 | 100 |
| 39.17 | 19 |
| 43.43 | 27 |
| 59.90 | 21 |
| 63.10 | 9 |
| 69.05 | 12 |
| 74.97 | 19 |
| 76.84 | 9 |
| 84.19 | 2 |

Structural model:
Unit cell a=2.946 b=2.946 c=4.600 alpha=90.00 beta=90.00 gamma=90.00
Fractional positions:
Ti: 0.000 0.500 0.000
Ti: 0.500 0.000 0.500
H: 0.000 0.000 0.250
H: 0.000 0.000 0.750